The following is a theoretical XRD peak list of Ce2MgIn8. It was derived from DFT lattice parameters and positions (PBE), using CuKα.
Lines closer than 0.1° are merged.

Main lines, in order of rising 2θ (2θ from 10° to 80°):
| 2θ (°) | I (rel.) |
| --- | --- |
| 26.9 | 9 |
| 29.8 | 32 |
| 34.1 | 100 |
| 36.7 | 14 |
| 36.9 | 50 |
| 53.0 | 19 |
| 53.2 | 17 |
| 64.7 | 30 |
| 66.4 | 9 |
| 66.8 | 15 |

Structure:
```
Ce2MgIn8
1.0
4.8683 0.0000 0.0000
0.0000 4.8683 0.0000
0.0000 0.0000 12.2595
Ce Mg In
2 1 8
Direct
0.0000 0.0000 0.1876
0.0000 0.0000 0.8124
0.0000 0.0000 0.5000
0.0000 0.5000 0.0000
0.0000 0.5000 0.3672
0.0000 0.5000 0.6328
0.5000 0.0000 0.0000
0.5000 0.0000 0.3672
0.5000 0.0000 0.6328
0.5000 0.5000 0.1865
0.5000 0.5000 0.8135
```

***

The following is a theoretical XRD peak list of UCo3Ni2. It was derived from DFT lattice parameters and positions (PBE), using CuKα.
Lines closer than 0.1° are merged.

Main lines, in order of rising 2θ (2θ from 10° to 80°):
| 2θ (°) | I (rel.) |
| --- | --- |
| 22.7 | 51 |
| 27.2 | 48 |
| 28.1 | 47 |
| 35.5 | 29 |
| 38.4 | 39 |
| 41.8 | 56 |
| 43.8 | 55 |
| 44.5 | 100 |
| 46.3 | 26 |
| 49.3 | 46 |

Structure:
```
UCo3Ni2
1.0
2.4866 -6.2029 0.0000
2.4866 6.2029 0.0000
-0.4270 0.0000 5.0635
U Co Ni
2 6 4
Direct
0.1664 0.8336 0.7500
0.8336 0.1664 0.2500
0.0754 0.4145 0.8238
0.3462 0.6538 0.2500
0.4145 0.0754 0.3238
0.5855 0.9246 0.6762
0.6538 0.3462 0.7500
0.9246 0.5855 0.1762
0.2607 0.2855 0.5699
0.2855 0.2607 0.0699
0.7145 0.7393 0.9301
0.7393 0.7145 0.4301
```